[1]
# Ba3CuSi4
Computed X-ray diffraction stick pattern, Cu Kα (weighted mean of Kα1 and Kα2). Input: a DFT-relaxed cell (GGA-PBE, Alexandria).
Kinematic intensities with the Lorentz-polarization factor, no thermal factor.

Atomic structure:
Lattice parameters (Å, degrees): 5.512 6.817 13.252 90.00 90.00 90.00
Space group Immm (No. 71)
Asymmetric unit:
Ba1 0.000 0.000 0.000
Ba2 0.000 0.500 0.185
Cu1 0.000 0.000 0.500
Si1 0.000 0.305 0.408

Most intense lines, 2θ from 10° to 90°, by angle:
index	Position (°2θ)	d/Å	I (rel.)
0 1 3	24.01	3.707	370
1 1 2	24.74	3.599	1000
0 2 0	26.14	3.409	227
1 2 1	31.59	2.832	234
2 0 0	32.49	2.756	313
1 1 4	34.21	2.621	193
1 0 5	37.66	2.389	205
2 1 3	40.81	2.211	225
1 3 2	45.28	2.003	256
2 2 6	60.16	1.538	146

[2]
# Ba8CuSi16
Computed X-ray diffraction stick pattern, Cu Kα (weighted mean of Kα1 and Kα2). Input: a DFT-relaxed cell (GGA-PBE, Alexandria).
Kinematic intensities with the Lorentz-polarization factor, no thermal factor.

Atomic structure:
Lattice parameters (Å, degrees): 6.658 8.720 12.373 90.45 90.82 90.94
Space group P1 (No. 1)
Asymmetric unit:
Ba1 0.000 0.000 0.000
Ba2 0.000 0.336 0.690
Ba3 0.004 0.505 0.326
Ba4 0.018 0.848 0.634
Ba5 0.465 0.347 0.126
Ba6 0.495 0.851 0.192
Ba7 0.497 0.673 0.825
Ba8 0.526 0.169 0.461
Cu1 0.709 0.782 0.421
Si1 0.015 0.893 0.360
Si2 0.031 0.141 0.451
Si3 0.089 0.124 0.263
Si4 0.172 0.630 0.047
Si5 0.319 0.076 0.798
Si6 0.322 0.560 0.551
Si7 0.348 0.790 0.440
Si8 0.498 0.543 0.380
Si9 0.502 0.281 0.708
Si10 0.506 0.040 0.962
Si11 0.639 0.279 0.889
Si12 0.674 0.046 0.776
Si13 0.682 0.574 0.550
Si14 0.810 0.634 0.049
Si15 0.963 0.402 0.985
Si16 0.989 0.634 0.878

Most intense lines, 2θ from 10° to 90°, by angle:
index	Position (°2θ)	d/Å	I (rel.)
1 1 -2	22.00	4.041	206
0 2 2	25.09	3.550	242
1 0 -3	25.26	3.526	1000
1 0 3	25.57	3.484	820
1 2 1	25.75	3.460	226
2 0 0	26.79	3.328	575
0 3 -1	31.57	2.834	239
0 3 1	31.69	2.824	215
2 1 2	32.62	2.745	215
-2 2 2	36.60	2.455	248

[3]
# Ba8CuSi16
Computed X-ray diffraction stick pattern, Cu Kα (weighted mean of Kα1 and Kα2). Input: a DFT-relaxed cell (GGA-PBE, Alexandria).
Kinematic intensities with the Lorentz-polarization factor, no thermal factor.

Atomic structure:
Lattice parameters (Å, degrees): 7.001 9.183 11.678 88.89 87.24 84.88
Space group P1 (No. 1)
Asymmetric unit:
Ba1 0.000 0.000 0.000
Ba2 0.001 0.556 0.310
Ba3 0.019 0.206 0.605
Ba4 0.465 0.849 0.485
Ba5 0.493 0.194 0.209
Ba6 0.511 0.711 0.109
Ba7 0.527 0.437 0.805
Ba8 0.927 0.689 0.693
Cu1 0.275 0.231 0.922
Si1 0.001 0.394 0.877
Si2 0.144 0.931 0.276
Si3 0.178 0.411 0.060
Si4 0.210 0.910 0.730
Si5 0.309 0.512 0.546
Si6 0.391 0.104 0.756
Si7 0.484 0.282 0.493
Si8 0.484 0.500 0.362
Si9 0.498 0.834 0.827
Si10 0.525 0.037 0.955
Si11 0.661 0.488 0.532
Si12 0.719 0.022 0.775
Si13 0.814 0.899 0.261
Si14 0.832 0.398 0.063
Si15 0.953 0.893 0.442
Si16 0.978 0.617 0.989

Most intense lines, 2θ from 10° to 90°, by angle:
index	Position (°2θ)	d/Å	I (rel.)
1 -1 2	22.31	3.984	271
1 2 -1	23.87	3.728	544
0 2 2	24.56	3.625	337
1 -2 1	25.31	3.519	412
2 0 0	25.55	3.486	1000
1 0 3	25.72	3.464	699
1 0 -3	26.78	3.329	385
2 1 -2	31.43	2.846	269
2 2 2	33.88	2.646	264
0 3 -3	37.79	2.381	349

[4]
# Ba8CuSi16
Computed X-ray diffraction stick pattern, Cu Kα (weighted mean of Kα1 and Kα2). Input: a DFT-relaxed cell (GGA-PBE, Alexandria).
Kinematic intensities with the Lorentz-polarization factor, no thermal factor.

Atomic structure:
Lattice parameters (Å, degrees): 6.649 9.661 11.525 87.32 87.96 84.60
Space group P1 (No. 1)
Asymmetric unit:
Ba1 0.000 0.000 0.000
Ba2 0.018 0.661 0.724
Ba3 0.043 0.469 0.128
Ba4 0.419 0.960 0.617
Ba5 0.482 0.837 0.224
Ba6 0.501 0.490 0.457
Ba7 0.533 0.335 0.887
Ba8 0.937 0.126 0.394
Cu1 0.530 0.537 0.108
Si1 0.039 0.318 0.841
Si2 0.149 0.782 0.452
Si3 0.227 0.295 0.655
Si4 0.327 0.692 0.976
Si5 0.330 0.166 0.145
Si6 0.429 0.171 0.333
Si7 0.498 0.896 0.916
Si8 0.518 0.686 0.796
Si9 0.596 0.312 0.188
Si10 0.646 0.219 0.622
Si11 0.704 0.685 0.971
Si12 0.786 0.795 0.454
Si13 0.865 0.386 0.656
Si14 0.965 0.132 0.717
Si15 0.979 0.801 0.270
Si16 0.981 0.587 0.395

Most intense lines, 2θ from 10° to 90°, by angle:
index	Position (°2θ)	d/Å	I (rel.)
1 1 -2	22.53	3.947	619
1 -1 2	22.99	3.869	774
0 2 2	23.60	3.770	581
0 1 3	24.62	3.615	508
1 0 3	26.49	3.364	423
2 0 0	26.95	3.308	1000
1 0 -3	27.25	3.273	401
0 3 1	28.60	3.121	459
0 2 3	29.15	3.063	395
0 3 -1	29.28	3.050	581

[5]
# BaCu2Si
Computed X-ray diffraction stick pattern, Cu Kα (weighted mean of Kα1 and Kα2). Input: a DFT-relaxed cell (GGA-PBE, Alexandria).
Kinematic intensities with the Lorentz-polarization factor, no thermal factor.

Atomic structure:
Lattice parameters (Å, degrees): 7.266 4.200 6.306 90.00 113.14 90.00
Space group Cm (No. 8)
Asymmetric unit:
Ba1 0.000 0.000 0.000
Cu1 0.185 0.000 0.549
Cu2 0.499 0.000 0.490
Si1 0.311 0.500 0.426

Most intense lines, 2θ from 10° to 90°, by angle:
index	Position (°2θ)	d/Å	I (rel.)
2 0 -1	25.02	3.558	566
1 1 -1	26.52	3.361	524
0 0 2	30.84	2.899	721
2 0 -2	31.95	2.801	347
1 1 1	32.16	2.783	692
1 1 -2	35.63	2.520	293
0 2 0	43.10	2.099	1000
3 1 -3	53.71	1.706	288
0 2 2	53.91	1.701	284
3 1 1	54.17	1.693	279

[6]
# BaCu6Si4
Computed X-ray diffraction stick pattern, Cu Kα (weighted mean of Kα1 and Kα2). Input: a DFT-relaxed cell (GGA-PBE, Alexandria).
Kinematic intensities with the Lorentz-polarization factor, no thermal factor.

Atomic structure:
Lattice parameters (Å, degrees): 6.9178 6.9178 4.0612 90.00 90.00 120.00
Space group P-6m2 (No. 187)
Asymmetric unit:
Ba1 0.0000 0.0000 0.0000
Cu1 0.2107 0.4213 0.5000
Cu2 0.5362 0.0724 0.0000
Si1 0.3333 0.6667 0.0000
Si2 0.4155 0.2078 0.5000

Most intense lines, 2θ from 10° to 90°, by angle:
index	Position (°2θ)	d/Å	I (rel.)
1 0 1	26.52	3.362	228
2 0 0	29.83	2.996	158
1 1 1	34.05	2.633	189
2 0 1	37.30	2.411	1000
2 1 0	39.81	2.264	330
0 0 2	44.62	2.031	252
2 1 1	45.88	1.978	187
2 2 0	52.94	1.729	122
3 1 1	60.17	1.538	161
2 1 2	61.32	1.512	177

[7]
# Ba8CuSi16
Computed X-ray diffraction stick pattern, Cu Kα (weighted mean of Kα1 and Kα2). Input: a DFT-relaxed cell (GGA-PBE, Alexandria).
Kinematic intensities with the Lorentz-polarization factor, no thermal factor.

Atomic structure:
Lattice parameters (Å, degrees): 9.311 6.747 11.541 90.00 90.48 90.00
Space group Pm (No. 6)
Asymmetric unit:
Ba1 0.000 0.000 0.000
Ba2 0.022 0.500 0.380
Ba3 0.163 0.000 0.598
Ba4 0.344 0.500 0.106
Ba5 0.505 0.000 0.886
Ba6 0.528 0.500 0.501
Ba7 0.660 0.000 0.287
Ba8 0.878 0.500 0.777
Cu1 0.590 0.500 0.916
Si1 0.102 0.000 0.283
Si2 0.201 0.318 0.836
Si3 0.211 0.500 0.655
Si4 0.314 0.000 0.160
Si5 0.317 0.178 0.341
Si6 0.412 0.500 0.783
Si7 0.605 0.000 0.600
Si8 0.706 0.500 0.222
Si9 0.712 0.301 0.049
Si10 0.816 0.000 0.725
Si11 0.820 0.178 0.543
Si12 0.920 0.500 0.097

Most intense lines, 2θ from 10° to 90°, by angle:
index	Position (°2θ)	d/Å	I (rel.)
1 1 -2	22.35	3.977	534
1 1 2	22.47	3.958	684
2 1 -1	24.44	3.642	747
2 1 1	24.53	3.629	506
0 2 0	26.42	3.374	1000
0 1 3	26.68	3.342	818
3 0 -1	29.75	3.003	405
1 2 2	32.22	2.779	422
3 2 -1	40.23	2.242	328
1 0 5	40.38	2.234	327

[8]
# BaCu2Sn2
Computed X-ray diffraction stick pattern, Cu Kα (weighted mean of Kα1 and Kα2). Input: a DFT-relaxed cell (GGA-PBE, Alexandria).
Kinematic intensities with the Lorentz-polarization factor, no thermal factor.

Atomic structure:
Lattice parameters (Å, degrees): 6.957 11.665 7.418 90.00 117.86 90.00
Space group C2/c (No. 15)
Asymmetric unit:
Ba1 0.000 0.125 0.250
Cu1 0.000 0.185 0.750
Cu2 0.000 0.437 0.250
Sn1 0.116 0.374 0.983

Most intense lines, 2θ from 10° to 90°, by angle:
index	Position (°2θ)	d/Å	I (rel.)
1 1 -1	16.30	5.438	354
1 1 -2	25.24	3.528	625
2 0 0	29.06	3.073	793
2 2 -1	29.91	2.988	624
0 4 0	30.66	2.916	562
1 3 -2	33.42	2.681	1000
1 1 -3	37.44	2.402	388
1 3 2	43.61	2.076	655
3 3 0	50.34	1.813	310
2 6 -1	54.03	1.697	346